Record 1
Simulated powder X-ray diffraction pattern of Pm3Sm2S4 for CuKα, from DFT lattice parameters and positions (GGA-PBE).
Kinematic intensities with the Lorentz-polarization factor, no thermal factor.

Structure:
Cell: 3.9851 3.9851 16.3565 Å, 90.00 90.00 120.00°
Space group P-3m1 (No. 164)
One atom of each set of equivalent atoms:
1 Pm 0.0000 0.0000 0.0000 [1 per cell]
2 Pm 0.3333 0.6667 0.5935 [2 per cell]
3 Sm 0.3333 0.6667 0.2042 [2 per cell]
4 S 0.0000 0.0000 0.3043 [2 per cell]
5 S 0.3333 0.6667 0.8973 [2 per cell]

Peak list (8 most intense, 10° ≤ 2θ ≤ 90°, most intense first)
| Position (°2θ) | d/Å | I_rel | index |
| --- | --- | --- | --- |
| 30.66 | 2.916 | 100 | 1 0 3 |
| 28.06 | 3.180 | 50 | 0 1 2 |
| 45.52 | 1.993 | 40 | 1 1 0 |
| 27.26 | 3.271 | 25 | 0 0 5 |
| 53.88 | 1.702 | 24 | 1 1 5 |
| 46.96 | 1.935 | 20 | 0 1 7 |
| 42.25 | 2.139 | 18 | 0 1 6 |
| 55.89 | 1.645 | 18 | 0 2 3 |



Record 2
Simulated powder X-ray diffraction pattern of PmSm2S4 for CuKα, from DFT lattice parameters and positions (GGA-PBE).
Kinematic intensities with the Lorentz-polarization factor, no thermal factor.

Structure:
Cell: 8.0779 8.0928 11.2484 Å, 90.00 90.00 90.00°
Space group Imma (No. 74)
One atom of each set of equivalent atoms:
1 Pm 0.2500 0.2500 0.2500 [4 per cell]
2 Sm 0.0000 0.0000 0.0000 [4 per cell]
3 Sm 0.2500 0.2500 0.7500 [4 per cell]
4 S 0.0000 0.0013 0.7493 [8 per cell]
5 S 0.2390 0.2500 0.9994 [8 per cell]

Peak list (8 most intense, 10° ≤ 2θ ≤ 90°, most intense first)
| Position (°2θ) | d/Å | I_rel | index |
| --- | --- | --- | --- |
| 31.29 | 2.859 | 100 | 2 2 0 |
| 27.17 | 3.283 | 81 | 2 0 2 |
| 45.23 | 2.005 | 70 | 2 2 4 |
| 13.50 | 6.561 | 52 | 1 0 1 |
| 31.82 | 2.812 | 48 | 0 0 4 |
| 56.03 | 1.641 | 37 | 0 4 4 |
| 44.84 | 2.021 | 36 | 0 4 0 |
| 53.22 | 1.721 | 28 | 4 2 2 |



Record 3
Simulated powder X-ray diffraction pattern of PmSm4S4 for CuKα, from DFT lattice parameters and positions (GGA-PBE).
Kinematic intensities with the Lorentz-polarization factor, no thermal factor.

Structure:
Cell: 8.9298 8.9298 5.6402 Å, 90.00 90.00 90.00°
Space group I4/m (No. 87)
One atom of each set of equivalent atoms:
1 Pm 0.0000 0.0000 0.0000 [2 per cell]
2 Sm 0.1043 0.6955 0.5000 [8 per cell]
3 S 0.0995 0.6980 0.0000 [8 per cell]

Peak list (8 most intense, 10° ≤ 2θ ≤ 90°, most intense first)
| Position (°2θ) | d/Å | I_rel | index |
| --- | --- | --- | --- |
| 31.70 | 2.823 | 100 | 0 0 2 |
| 27.36 | 3.259 | 93 | 1 2 1 |
| 45.44 | 1.996 | 72 | 3 1 2 |
| 53.86 | 1.702 | 45 | 1 2 3 |
| 75.28 | 1.262 | 32 | 3 1 4 |
| 56.47 | 1.630 | 25 | 2 4 2 |
| 83.98 | 1.152 | 24 | 2 4 4 |
| 73.06 | 1.295 | 18 | 5 0 3 |



Record 4
Simulated powder X-ray diffraction pattern of PmSm2Tl3S6 for CuKα, from DFT lattice parameters and positions (GGA-PBE).
Kinematic intensities with the Lorentz-polarization factor, no thermal factor.

Structure:
Cell: 7.1606 12.4029 7.8756 Å, 90.00 107.64 90.00°
Space group C2/m (No. 12)
One atom of each set of equivalent atoms:
1 Pm 0.0000 0.0000 0.0000 [2 per cell]
2 Sm 0.0000 0.3334 0.0000 [4 per cell]
3 Tl 0.0000 0.1667 0.5000 [4 per cell]
4 Tl 0.0000 0.5000 0.5000 [2 per cell]
5 S 0.2328 0.5000 0.2022 [4 per cell]
6 S 0.2348 0.1673 0.2024 [8 per cell]

Peak list (8 most intense, 10° ≤ 2θ ≤ 90°, most intense first)
| Position (°2θ) | d/Å | I_rel | index |
| --- | --- | --- | --- |
| 29.57 | 3.021 | 100 | 1 3 1 |
| 26.12 | 3.412 | 63 | 2 0 0 |
| 40.78 | 2.213 | 39 | 2 0 2 |
| 43.79 | 2.067 | 35 | 0 6 0 |
| 23.71 | 3.753 | 29 | 0 0 2 |
| 50.40 | 1.811 | 24 | 3 3 1 |
| 53.73 | 1.706 | 19 | 4 0 0 |
| 47.72 | 1.906 | 16 | 1 3 3 |



Record 5
Simulated powder X-ray diffraction pattern of Pm3SmTl4S8 for CuKα, from DFT lattice parameters and positions (GGA-PBE).
Kinematic intensities with the Lorentz-polarization factor, no thermal factor.

Structure:
Cell: 8.2875 8.2875 22.5092 Å, 90.00 90.00 120.00°
Space group R-3m (No. 166, hexagonal axes)
One atom of each set of equivalent atoms:
1 Pm 0.0000 0.5000 0.0000 [9 per cell]
2 Sm 0.0000 0.0000 0.0000 [3 per cell]
3 Tl 0.0000 0.0000 0.5000 [3 per cell]
4 Tl 0.0000 0.5000 0.5000 [9 per cell]
5 S 0.0000 0.0000 0.2656 [6 per cell]
6 S 0.0012 0.5006 0.7342 [18 per cell]

Peak list (8 most intense, 10° ≤ 2θ ≤ 90°, most intense first)
| Position (°2θ) | d/Å | I_rel | index |
| --- | --- | --- | --- |
| 29.52 | 3.026 | 100 | 0 2 4 |
| 26.06 | 3.419 | 63 | 2 0 2 |
| 40.75 | 2.214 | 39 | 2 0 8 |
| 43.69 | 2.072 | 35 | 2 2 0 |
| 23.72 | 3.752 | 28 | 0 0 6 |
| 50.31 | 1.814 | 24 | 2 2 6 |
| 53.61 | 1.709 | 19 | 4 0 4 |
| 47.69 | 1.907 | 16 | 0 2 10 |



Record 6
Simulated powder X-ray diffraction pattern of PmSm2TmS6 for CuKα, from DFT lattice parameters and positions (GGA-PBE).
Kinematic intensities with the Lorentz-polarization factor, no thermal factor.

Structure:
Cell: 7.0346 7.0346 18.6749 Å, 90.00 90.00 120.00°
Space group R3 (No. 146, hexagonal axes)
One atom of each set of equivalent atoms:
1 Pm 0.0000 0.0000 0.0000 [3 per cell]
2 Sm 0.0000 0.0000 0.2923 [3 per cell]
3 Sm 0.0000 0.0000 0.7952 [3 per cell]
4 Tm 0.0000 0.0000 0.4958 [3 per cell]
5 S 0.0375 0.3556 0.5638 [9 per cell]
6 S 0.0411 0.6679 0.0652 [9 per cell]

Peak list (8 most intense, 10° ≤ 2θ ≤ 90°, most intense first)
| Position (°2θ) | d/Å | I_rel | index |
| --- | --- | --- | --- |
| 24.01 | 3.706 | 100 | 1 0 4 |
| 25.32 | 3.517 | 99 | 1 1 0 |
| 38.63 | 2.331 | 77 | 2 -1 6 |
| 35.18 | 2.551 | 49 | 0 2 4 |
| 43.84 | 2.065 | 49 | 3 -1 4 |
| 44.62 | 2.031 | 49 | 3 0 0 |
| 17.38 | 5.102 | 38 | 0 1 2 |
| 51.15 | 1.786 | 25 | 1 0 10 |